[1]
# Ca3InGa
Simulated XRD peak list, copper Kα. Input: a GGA-PBE-relaxed structure.
Neutral-atom scattering factors, no anomalous dispersion.

Cell and atoms:
Cell: 5.3545 20.8536 5.3527 Å, 90.00 90.00 90.00°
Space group Cmcm (No. 63)
Inequivalent atoms, fractional coordinates:
Ca1 0.0000 0.0710 0.2500
Ca2 0.0000 0.2499 0.2500
Ca3 0.0000 0.4285 0.2500
In1 0.0000 0.1572 0.7500
Ga1 0.0000 0.3445 0.7500

Peak list (8 most intense, 2θ = 15–90°, in order of falling intensity)
2θ/deg	I_rel	h k l
31.9	100	1 5 1
33.5	51	2 0 0
58.9	32	3 5 1
48.1	17	2 0 2
17.0	17	0 4 0
38.5	16	1 7 1
23.9	16	1 1 1
55.9	12	2 10 0



[2]
# Sr5Ag2Au
Simulated XRD peak list, copper Kα. Input: a GGA-PBE-relaxed structure.
Neutral-atom scattering factors, no anomalous dispersion.

Cell and atoms:
Cell: 8.3331 8.3331 16.2102 Å, 90.00 90.00 90.00°
Space group I4/mcm (No. 140)
Inequivalent atoms, fractional coordinates:
Sr1 0.0000 0.0000 0.0000
Sr2 0.1720 0.3280 0.1463
Ag1 0.1215 0.3785 0.5000
Au1 0.0000 0.0000 0.2500

Peak list (8 most intense, 2θ = 15–90°, in order of falling intensity)
2θ/deg	I_rel	h k l
29.1	100	2 1 3
34.0	66	3 1 0
30.8	59	2 0 4
18.6	39	1 1 2
30.3	22	2 2 0
26.7	22	1 1 4
57.4	21	3 1 8
61.1	19	5 1 4



[3]
# Ba6HgPt2Br3
Simulated XRD peak list, copper Kα. Input: a GGA-PBE-relaxed structure.
Neutral-atom scattering factors, no anomalous dispersion.

Cell and atoms:
Cell: 21.5559 4.6356 10.0048 Å, 90.00 108.81 90.00°
Space group C2/m (No. 12)
Inequivalent atoms, fractional coordinates:
Ba1 0.0122 0.0000 0.2512
Ba2 0.1664 0.5000 0.1122
Ba3 0.1774 0.5000 0.5590
Hg1 0.0000 0.5000 0.0000
Pt1 0.1668 0.0000 0.3323
Br1 0.0000 0.5000 0.5000
Br2 0.1660 0.0000 0.8283

Peak list (8 most intense, 2θ = 15–90°, in order of falling intensity)
2θ/deg	I_rel	h k l
26.2	100	1 1 -2
36.1	38	7 1 -2
38.7	24	5 1 2
47.5	13	6 2 0
38.9	12	0 2 0
62.7	11	4 2 4
33.3	10	8 0 -1
59.1	10	3 1 -6



[4]
# K3Tl5Cd2
Simulated XRD peak list, copper Kα. Input: a GGA-PBE-relaxed structure.
Neutral-atom scattering factors, no anomalous dispersion.

Cell and atoms:
Cell: 13.8672 14.5092 7.3402 Å, 90.00 90.00 90.00°
Space group Ibam (No. 72)
Inequivalent atoms, fractional coordinates:
K1 0.0000 0.0000 0.2500
K2 0.2289 0.3852 0.0000
Tl1 0.0000 0.2471 0.2500
Tl2 0.0000 0.5000 0.2500
Tl3 0.1370 0.3672 0.5000
Cd1 0.1500 0.1519 0.0000

Peak list (8 most intense, 2θ = 15–90°, in order of falling intensity)
2θ/deg	I_rel	h k l
34.8	100	0 4 2
18.3	90	1 2 1
27.5	80	2 0 2
27.8	75	2 4 0
35.6	74	4 0 2
35.8	66	4 4 0
36.8	43	5 2 1
25.9	33	3 2 1